Diffraction record for CsHfMoO6. The powder diffractogram is computed, not measured: it uses a PBE+U-relaxed structure and CuKα.
Peak positions follow from Bragg's law for the DFT cell and can differ from measured ones.

Crystal structure
abc: 5.5136 9.8021 6.4261
angles: 90.00 90.55 90.00
Space group C2 (No. 5)
Unique sites:
Cs  0.0000  0.0000  0.0000
Hf  0.0000  0.6798  0.5000
Mo  0.0000  0.3215  0.5000
O  0.0990  0.4940  0.6456
O  0.1973  0.2175  0.6844
O  0.2263  0.7941  0.6823

Top 10 peaks for 10 to 90 degrees two-theta, most intense first:
| Position (°2θ) | Rel. int. |
| --- | --- |
| 22.8 | 100.0 |
| 23.0 | 75.6 |
| 23.2 | 72.6 |
| 13.8 | 63.7 |
| 31.8 | 56.9 |
| 42.9 | 40.4 |
| 27.8 | 38.2 |
| 51.5 | 29.6 |
| 32.5 | 26.4 |
| 42.6 | 25.8 |